[1]
Simulated powder diffraction line list of CsPPbSe4 for copper Kα, from a GGA-PBE-relaxed structure.
Kinematic intensities with the Lorentz-polarization factor, no thermal factor.

The 6 most intense peaks (2θ from 5° to 70°), in order of rising 2θ:
(2 0 0), 9.37°, 9.439 Å, rel. 100; (0 2 0), 24.66°, 3.611 Å, rel. 62; (2 0 2), 28.00°, 3.187 Å, rel. 68; (1 1 2), 29.55°, 3.023 Å, rel. 70; (4 2 0), 31.19°, 2.868 Å, rel. 80; (2 2 2), 37.65°, 2.389 Å, rel. 67

a b c (Å): 18.8777 7.2213 6.7719
angles (deg): 90.00 90.00 90.00
Space group Pnma (No. 62)
Asymmetric unit:
Cs: 0.2075 0.2500 0.0496
P: 0.0946 0.7500 0.7820
Pb: 0.0182 0.7500 0.2902
Se: 0.0202 0.2500 0.1486
Se: 0.1166 0.5018 0.5973
Se: 0.1584 0.7500 0.0556

[2]
Simulated powder diffraction line list of Cs2P2Pd for copper Kα, from a GGA-PBE-relaxed structure.
Kinematic intensities with the Lorentz-polarization factor, no thermal factor.

The 6 most intense peaks (2θ from 5° to 70°), in order of rising 2θ:
(2 0 0), 25.42°, 3.504 Å, rel. 47; (1 3 1), 26.01°, 3.426 Å, rel. 100; (2 2 1), 31.53°, 2.838 Å, rel. 35; (1 1 2), 31.66°, 2.826 Å, rel. 23; (1 5 0), 32.37°, 2.766 Å, rel. 40; (1 3 2), 35.98°, 2.496 Å, rel. 27

a b c (Å): 7.0090 15.0491 6.3114
angles (deg): 90.00 90.00 90.00
Space group Cmcm (No. 63)
Asymmetric unit:
Cs: 0.0000 0.0832 0.2500
Cs: 0.0000 0.2893 0.7500
P: 0.1557 0.4002 0.2500
Pd: 0.0000 0.5000 0.0000

[3]
Simulated powder diffraction line list of CsPuP2S7 for copper Kα, from a GGA-PBE-relaxed structure.
Kinematic intensities with the Lorentz-polarization factor, no thermal factor.

The 6 most intense peaks (2θ from 5° to 70°), in order of rising 2θ:
(1 1 0), 11.05°, 8.005 Å, rel. 62; (0 1 1), 11.91°, 7.431 Å, rel. 73; (2 1 0), 18.61°, 4.768 Å, rel. 100; (1 2 -1), 18.94°, 4.687 Å, rel. 70; (1 1 -2), 22.23°, 3.999 Å, rel. 91; (2 2 1), 24.43°, 3.644 Å, rel. 75

a b c (Å): 10.2816 12.7625 9.1420
angles (deg): 90.00 91.26 90.00
Space group P2_1/c (No. 14)
Asymmetric unit:
Cs: 0.1018 0.1975 0.1340
Pu: 0.3652 0.6410 0.6057
P: 0.2398 0.6060 0.9756
P: 0.3235 0.0333 0.8004
S: 0.1478 0.5632 0.7862
S: 0.1547 0.7090 0.1114
S: 0.1820 0.5293 0.4258
S: 0.2637 0.0470 0.5745
S: 0.3600 0.1862 0.8524
S: 0.4150 0.6718 0.9226
S: 0.4862 0.5569 0.3248